# Rb2LaMnI6
Calculated powder XRD pattern, Cu Ka. Input: a DFT-relaxed cell (PBE, Alexandria).
No peak broadening, texture or thermal motion is included.

The 10 most intense peaks (2θ from 10° to 80°), in order of rising 2θ:
- d = 5.862 Å, 15.1°, rel. 36
- d = 3.385 Å, 26.3°, rel. 83
- d = 2.931 Å, 30.5°, rel. 100
- d = 2.690 Å, 33.3°, rel. 13
- d = 2.622 Å, 34.2°, rel. 15
- d = 2.073 Å, 43.7°, rel. 70
- d = 1.768 Å, 51.7°, rel. 33
- d = 1.692 Å, 54.2°, rel. 23
- d = 1.345 Å, 69.9°, rel. 11
- d = 1.311 Å, 72.0°, rel. 27

Crystal structure
Cell lengths 8.291, 8.291, 8.291 Å; angles 60.00, 60.00, 60.00 degrees
Fractional positions:
Rb  0.250  0.250  0.250
Rb  0.750  0.750  0.750
La  0.000  0.000  0.000
Mn  0.500  0.500  0.500
I  0.268  0.268  0.732
I  0.268  0.732  0.268
I  0.268  0.732  0.732
I  0.732  0.268  0.268
I  0.732  0.268  0.732
I  0.732  0.732  0.268

---

# Pm3SiTe
Calculated powder XRD pattern, Cu Ka. Input: a DFT-relaxed cell (PBE, Alexandria).
No peak broadening, texture or thermal motion is included.

The 10 most intense peaks (2θ from 10° to 80°), in order of rising 2θ:
- d = 7.293 Å, 12.1°, rel. 17
- d = 3.647 Å, 24.4°, rel. 46
- d = 3.072 Å, 29.1°, rel. 100
- d = 2.985 Å, 29.9°, rel. 14
- d = 2.699 Å, 33.2°, rel. 66
- d = 2.531 Å, 35.5°, rel. 88
- d = 1.794 Å, 50.9°, rel. 13
- d = 1.789 Å, 51.0°, rel. 44
- d = 1.675 Å, 54.8°, rel. 13
- d = 1.609 Å, 57.3°, rel. 18

Crystal structure
Cell lengths 7.160, 7.160, 8.379 Å; angles 115.21, 115.21, 60.14 degrees
Fractional positions:
Pm  0.090  0.593  0.276
Pm  0.091  0.091  0.275
Pm  0.407  0.910  0.724
Pm  0.593  0.090  0.276
Pm  0.909  0.909  0.725
Pm  0.910  0.407  0.724
Si  0.168  0.168  0.003
Si  0.832  0.832  0.997
Te  0.382  0.382  0.646
Te  0.618  0.618  0.354

---

# Dy4SnTe
Calculated powder XRD pattern, Cu Ka. Input: a DFT-relaxed cell (PBE, Alexandria).
No peak broadening, texture or thermal motion is included.

The 10 most intense peaks (2θ from 10° to 80°), in order of rising 2θ:
- d = 8.093 Å, 10.9°, rel. 22
- d = 4.121 Å, 21.6°, rel. 22
- d = 3.921 Å, 22.7°, rel. 26
- d = 2.957 Å, 30.2°, rel. 76
- d = 2.841 Å, 31.5°, rel. 100
- d = 2.492 Å, 36.0°, rel. 91
- d = 2.483 Å, 36.2°, rel. 80
- d = 2.300 Å, 39.2°, rel. 47
- d = 2.174 Å, 41.5°, rel. 38
- d = 1.560 Å, 59.2°, rel. 24

Crystal structure
Cell lengths 6.387, 7.441, 8.957 Å; angles 76.18, 69.14, 89.95 degrees
Fractional positions:
Dy  0.023  0.050  0.154
Dy  0.178  0.450  0.846
Dy  0.266  0.371  0.276
Dy  0.458  0.871  0.276
Dy  0.542  0.129  0.724
Dy  0.734  0.629  0.724
Dy  0.822  0.550  0.154
Dy  0.977  0.950  0.846
Sn  0.344  0.750  0.000
Sn  0.656  0.250  0.000
Te  0.000  0.000  0.500
Te  0.500  0.500  0.500

---

# NaGe2S4
Calculated powder XRD pattern, Cu Ka. Input: a DFT-relaxed cell (PBE, Alexandria).
No peak broadening, texture or thermal motion is included.

The 10 most intense peaks (2θ from 10° to 80°), in order of rising 2θ:
- d = 5.424 Å, 16.3°, rel. 100
- d = 3.835 Å, 23.2°, rel. 20
- d = 2.985 Å, 29.9°, rel. 38
- d = 2.712 Å, 33.0°, rel. 27
- d = 2.645 Å, 33.9°, rel. 23
- d = 2.377 Å, 37.8°, rel. 31
- d = 1.893 Å, 48.1°, rel. 51
- d = 1.808 Å, 50.5°, rel. 12
- d = 1.715 Å, 53.4°, rel. 14
- d = 1.620 Å, 56.8°, rel. 11

Crystal structure
Cell lengths 7.670, 7.670, 6.058 Å; angles 90.00, 90.00, 90.00 degrees
Fractional positions:
Na  0.000  0.000  0.000
Na  0.500  0.500  0.500
Ge  0.000  0.500  0.250
Ge  0.000  0.500  0.750
Ge  0.500  0.000  0.250
Ge  0.500  0.000  0.750
S  0.161  0.335  0.500
S  0.165  0.661  0.000
S  0.335  0.839  0.500
S  0.339  0.165  0.000
S  0.661  0.835  0.000
S  0.665  0.161  0.500
S  0.835  0.339  0.000
S  0.839  0.665  0.500

---

# Li4CdRh3O8
Calculated powder XRD pattern, Cu Ka. Input: a DFT-relaxed cell (PBE, Alexandria).
No peak broadening, texture or thermal motion is included.

The 10 most intense peaks (2θ from 10° to 80°), in order of rising 2θ:
- d = 4.825 Å, 18.4°, rel. 100
- d = 2.666 Å, 33.6°, rel. 60
- d = 2.540 Å, 35.3°, rel. 33
- d = 2.170 Å, 41.6°, rel. 66
- d = 1.979 Å, 45.8°, rel. 23
- d = 1.644 Å, 55.9°, rel. 16
- d = 1.566 Å, 59.0°, rel. 21
- d = 1.505 Å, 61.6°, rel. 18
- d = 1.490 Å, 62.3°, rel. 21
- d = 1.314 Å, 71.9°, rel. 10

Crystal structure
Cell lengths 6.030, 6.030, 6.030 Å; angles 62.59, 62.59, 62.59 degrees
Fractional positions:
Li  0.000  0.000  0.000
Li  0.000  0.500  0.500
Li  0.500  0.000  0.500
Li  0.500  0.500  0.000
Cd  0.500  0.500  0.500
Rh  0.000  0.000  0.500
Rh  0.000  0.500  0.000
Rh  0.500  0.000  0.000
O  0.216  0.760  0.760
O  0.240  0.240  0.784
O  0.240  0.784  0.240
O  0.241  0.241  0.241
O  0.759  0.759  0.759
O  0.760  0.216  0.760
O  0.760  0.760  0.216
O  0.784  0.240  0.240

---

# Dy4Co2Cu
Calculated powder XRD pattern, Cu Ka. Input: a DFT-relaxed cell (PBE, Alexandria).
No peak broadening, texture or thermal motion is included.

The 10 most intense peaks (2θ from 10° to 80°), in order of rising 2θ:
- d = 3.232 Å, 27.6°, rel. 54
- d = 2.662 Å, 33.7°, rel. 100
- d = 2.596 Å, 34.5°, rel. 32
- d = 2.536 Å, 35.4°, rel. 21
- d = 2.518 Å, 35.7°, rel. 21
- d = 2.161 Å, 41.8°, rel. 22
- d = 2.150 Å, 42.0°, rel. 22
- d = 2.065 Å, 43.8°, rel. 24
- d = 1.848 Å, 49.3°, rel. 17
- d = 1.596 Å, 57.8°, rel. 21

Crystal structure
Cell lengths 6.897, 6.897, 7.393 Å; angles 105.87, 105.87, 73.56 degrees
Fractional positions:
Dy  0.000  0.000  0.000
Dy  0.483  0.953  0.350
Dy  0.496  0.965  0.854
Dy  0.501  0.501  0.483
Dy  0.503  0.503  0.999
Dy  0.953  0.483  0.350
Dy  0.965  0.496  0.854
Dy  0.992  0.992  0.477
Co  0.190  0.685  0.207
Co  0.685  0.190  0.207
Co  0.781  0.781  0.634
Co  0.784  0.784  0.125
Cu  0.283  0.283  0.633
Cu  0.288  0.288  0.131

---

# PmThTe2O
Calculated powder XRD pattern, Cu Ka. Input: a DFT-relaxed cell (PBE, Alexandria).
No peak broadening, texture or thermal motion is included.

The 10 most intense peaks (2θ from 10° to 80°), in order of rising 2θ:
- d = 3.736 Å, 23.8°, rel. 32
- d = 3.055 Å, 29.2°, rel. 100
- d = 2.989 Å, 29.9°, rel. 25
- d = 2.825 Å, 31.7°, rel. 69
- d = 2.365 Å, 38.1°, rel. 28
- d = 2.160 Å, 41.8°, rel. 43
- d = 2.136 Å, 42.3°, rel. 28
- d = 1.750 Å, 52.3°, rel. 23
- d = 1.716 Å, 53.4°, rel. 35
- d = 1.366 Å, 68.7°, rel. 18

Crystal structure
Cell lengths 4.321, 4.321, 14.937 Å; angles 90.00, 90.00, 90.00 degrees
Fractional positions:
Pm  0.250  0.250  0.069
Pm  0.750  0.750  0.931
Th  0.250  0.250  0.601
Th  0.750  0.750  0.399
Te  0.250  0.250  0.377
Te  0.250  0.250  0.805
Te  0.750  0.750  0.195
Te  0.750  0.750  0.623
O  0.250  0.750  0.000
O  0.750  0.250  0.000